# TbTcGe2
Calculated powder XRD pattern, copper Kα. Input: a crystal structure in Alexandria, relaxed with PBE.
No peak broadening, texture or thermal motion is included.

Structural model:
Unit cell a=6.2417 b=10.4358 c=5.7548 alpha=90.00 beta=122.25 gamma=90.00
Space group C2/c (No. 15)
Symmetry-distinct sites (fractional):
Tb 0.0000 0.1329 0.2500 (multiplicity 4)
Tc 0.0000 0.4646 0.2500 (multiplicity 4)
Ge 0.2453 0.3614 0.0868 (multiplicity 8)

Largest 12 diffraction maxima, sorted by position, 10° ≤ 2θ ≤ 90°:
- 2θ 30.80, I 84
- 2θ 32.13, I 87
- 2θ 33.46, I 53
- 2θ 34.32, I 100
- 2θ 36.94, I 19
- 2θ 40.58, I 40
- 2θ 40.79, I 83
- 2θ 45.32, I 43
- 2θ 51.99, I 18
- 2θ 56.19, I 17
- 2θ 59.67, I 22
- 2θ 60.99, I 25